Record 1
Structure and theoretical powder X-ray diffraction pattern of PrHo5Tm5 (a cell relaxed with PBE; Cu Kα (λ = 1.5418 Å)).

Peak list (10 most intense, 2θ from 5° to 70°, by angle)
- hkl 0 2 -1, d 2.842, 2θ = 31.5°, rel. 59
- hkl 2 0 -1, d 2.796, 2θ = 32.0°, rel. 100
- hkl 0 2 2, d 2.771, 2θ = 32.3°, rel. 99
- hkl 2 2 1, d 2.748, 2θ = 32.6°, rel. 71
- hkl 2 0 2, d 2.709, 2θ = 33.1°, rel. 75
- hkl 1 -2 0, d 2.645, 2θ = 33.9°, rel. 30
- hkl 0 0 3, d 2.632, 2θ = 34.1°, rel. 68
- hkl 2 -2 0, d 2.035, 2θ = 44.5°, rel. 21
- hkl 2 2 4, d 1.853, 2θ = 49.2°, rel. 22
- hkl 4 0 1, d 1.614, 2θ = 57.1°, rel. 27

Crystal structure
```
data_PrHo5Tm5
_symmetry_space_group_name_H-M 'P -1'
_symmetry_Int_Tables_number 2
_cell_length_a 6.754
_cell_length_b 6.943
_cell_length_c 8.236
_cell_angle_alpha 76.51
_cell_angle_beta 77.10
_cell_angle_gamma 72.97
loop_
_symmetry_equiv_pos_as_xyz
'x,y,z'
'-x,-y,-z'
loop_
_atom_site_label
_atom_site_type_symbol
_atom_site_fract_x
_atom_site_fract_y
_atom_site_fract_z
Pr1 Pr 0.000 0.000 0.000
Ho1 Ho 0.000 0.500 0.000
Ho2 Ho 0.159 0.627 0.359
Ho3 Ho 0.325 0.762 0.656
Tm1 Tm 0.209 0.137 0.321
Tm2 Tm 0.354 0.250 0.714
Tm3 Tm 0.500 0.500 0.000
```

=====

Record 2
Structure and theoretical powder X-ray diffraction pattern of Cs3SnF7 (a cell relaxed with PBE; Cu Kα (λ = 1.5418 Å)).

Peak list (10 most intense, 2θ from 5° to 70°, by angle)
- hkl 2 0 0, d 3.734, 2θ = 23.8°, rel. 50
- hkl 2 0 -2, d 3.602, 2θ = 24.7°, rel. 48
- hkl 0 2 1, d 3.560, 2θ = 25.0°, rel. 100
- hkl 2 2 -1, d 3.323, 2θ = 26.8°, rel. 67
- hkl 0 0 2, d 2.821, 2θ = 31.7°, rel. 21
- hkl 4 0 -2, d 2.411, 2θ = 37.3°, rel. 25
- hkl 0 4 0, d 2.293, 2θ = 39.3°, rel. 20
- hkl 2 2 1, d 2.178, 2θ = 41.5°, rel. 27
- hkl 2 2 -3, d 2.124, 2θ = 42.6°, rel. 24
- hkl 4 2 -3, d 1.975, 2θ = 45.9°, rel. 19

Crystal structure
```
data_Cs3SnF7
_symmetry_space_group_name_H-M 'C 1 m 1'
_symmetry_Int_Tables_number 8
_cell_length_a 9.650
_cell_length_b 9.174
_cell_length_c 7.293
_cell_angle_alpha 90.00
_cell_angle_beta 129.30
_cell_angle_gamma 90.00
loop_
_symmetry_equiv_pos_as_xyz
'x,y,z'
'x,-y,z'
'x+1/2,y+1/2,z'
'x+1/2,-y+1/2,z'
loop_
_atom_site_label
_atom_site_type_symbol
_atom_site_fract_x
_atom_site_fract_y
_atom_site_fract_z
Cs1 Cs 0.000 0.000 0.000
Cs2 Cs 0.010 0.258 0.551
Sn1 Sn 0.046 0.500 0.103
F1 F 0.109 0.284 0.229
F2 F 0.217 0.500 0.031
F3 F 0.281 0.500 0.472
F4 F 0.376 0.137 0.812
F5 F 0.379 0.000 0.184
```

=====

Record 3
Structure and theoretical powder X-ray diffraction pattern of BaLi10Mg (a cell relaxed with PBE; Cu Kα (λ = 1.5418 Å)).

Peak list (10 most intense, 2θ from 5° to 70°, by angle)
- hkl 0 0 1, d 10.251, 2θ = 8.6°, rel. 69
- hkl 0 1 0, d 5.937, 2θ = 14.9°, rel. 24
- hkl 0 0 2, d 5.134, 2θ = 17.3°, rel. 94
- hkl 1 0 0, d 4.822, 2θ = 18.4°, rel. 31
- hkl 1 0 1, d 4.363, 2θ = 20.4°, rel. 26
- hkl 0 1 2, d 3.880, 2θ = 22.9°, rel. 22
- hkl 1 1 1, d 3.515, 2θ = 25.3°, rel. 100
- hkl 0 2 0, d 2.964, 2θ = 30.2°, rel. 35
- hkl 0 2 2, d 2.567, 2θ = 35.0°, rel. 27
- hkl 1 2 0, d 2.525, 2θ = 35.6°, rel. 58

Crystal structure
```
data_BaLi10Mg
_symmetry_space_group_name_H-M 'P m m m'
_symmetry_Int_Tables_number 47
_cell_length_a 4.822
_cell_length_b 5.937
_cell_length_c 10.251
_cell_angle_alpha 90.00
_cell_angle_beta 90.00
_cell_angle_gamma 90.00
loop_
_symmetry_equiv_pos_as_xyz
'x,y,z'
'-x,-y,-z'
'-x,-y,z'
'x,y,-z'
'x,-y,-z'
'-x,y,z'
'-x,y,-z'
'x,-y,z'
loop_
_atom_site_label
_atom_site_type_symbol
_atom_site_fract_x
_atom_site_fract_y
_atom_site_fract_z
Ba1 Ba 0.000 0.000 0.000
Li1 Li 0.000 0.000 0.356
Li2 Li 0.000 0.500 0.199
Li3 Li 0.500 0.000 0.500
Li4 Li 0.500 0.267 0.282
Li5 Li 0.500 0.500 0.000
Mg1 Mg 0.000 0.500 0.500
```

=====

Record 4
Structure and theoretical powder X-ray diffraction pattern of HgPd7Se2 (a cell relaxed with PBE; Cu Kα (λ = 1.5418 Å)).

Peak list (10 most intense, 2θ from 5° to 70°, by angle)
- hkl 0 0 2, d 10.272, 2θ = 8.6°, rel. 17
- hkl 1 0 3, d 3.531, 2θ = 25.2°, rel. 20
- hkl 1 1 2, d 2.804, 2θ = 31.9°, rel. 16
- hkl 0 0 8, d 2.568, 2θ = 34.9°, rel. 10
- hkl 1 1 4, d 2.535, 2θ = 35.4°, rel. 19
- hkl 1 1 6, d 2.219, 2θ = 40.7°, rel. 100
- hkl 2 0 0, d 2.061, 2θ = 43.9°, rel. 46
- hkl 0 0 12, d 1.712, 2θ = 53.5°, rel. 7
- hkl 2 0 8, d 1.607, 2θ = 57.3°, rel. 9
- hkl 2 2 0, d 1.457, 2θ = 63.9°, rel. 15

Crystal structure
```
data_HgPd7Se2
_symmetry_space_group_name_H-M 'I 4/m m m'
_symmetry_Int_Tables_number 139
_symmetry_space_group_name_Hall '-I 4 2'
_cell_length_a 4.122
_cell_length_b 4.122
_cell_length_c 20.544
_cell_angle_alpha 90.00
_cell_angle_beta 90.00
_cell_angle_gamma 90.00
loop_
_atom_site_label
_atom_site_type_symbol
_atom_site_fract_x
_atom_site_fract_y
_atom_site_fract_z
Hg1 Hg 0.000 0.000 0.000
Pd1 Pd 0.000 0.000 0.500
Pd2 Pd 0.000 0.500 0.099
Pd3 Pd 0.000 0.500 0.250
Se1 Se 0.000 0.000 0.329
```